(1)
Starting from a crystal structure in Alexandria, relaxed with GGA-PBE, the XRD peak list of Dy4Ho6Er19 was simulated for copper Kα.
Kinematic intensities with the Lorentz-polarization factor, no thermal factor.

Main lines, by intensity (10 to 90 degrees two-theta):
2θ (°), Rel. int.
30.8, 100
37.2, 73
29.0, 60
27.1, 49
35.7, 45
61.2, 28
54.8, 25
62.2, 21
42.8, 20
52.6, 18
34.2, 18
72.9, 17

Structure:
a b c (Å): 10.6608 10.6608 10.6608
angles (deg): 109.47 109.47 109.47
Element x y z (fractional)
Dy 0.0000 0.0000 0.6426
Dy 0.0000 0.6426 0.0000
Dy 0.3574 0.3574 0.3574
Dy 0.6426 0.0000 0.0000
Ho 0.1279 0.6279 0.5000
Ho 0.3721 0.5000 0.8721
Ho 0.5000 0.1279 0.6279
Ho 0.5000 0.8721 0.3721
Ho 0.6279 0.5000 0.1279
Ho 0.8721 0.3721 0.5000
Er 0.0000 0.0000 0.0000
Er 0.0000 0.2616 0.2616
Er 0.0000 0.7384 0.7384
Er 0.0148 0.8015 0.3401
Er 0.1985 0.2133 0.5386
Er 0.2133 0.5386 0.1985
Er 0.2616 0.0000 0.2616
Er 0.2616 0.2616 0.0000
Er 0.3253 0.7867 0.9852
Er 0.3401 0.0148 0.8015
Er 0.4614 0.6747 0.6599
Er 0.5386 0.1985 0.2133
Er 0.6599 0.4614 0.6747
Er 0.6747 0.6599 0.4614
Er 0.7384 0.0000 0.7384
Er 0.7384 0.7384 0.0000
Er 0.7867 0.9852 0.3253
Er 0.8015 0.3401 0.0148
Er 0.9852 0.3253 0.7867

=====

(2)
Starting from a crystal structure in Alexandria, relaxed with GGA-PBE, the XRD peak list of Dy4HoEr5 was simulated for copper Kα.
Kinematic intensities with the Lorentz-polarization factor, no thermal factor.

Main lines, by intensity (10 to 90 degrees two-theta):
2θ (°), Rel. int.
30.2, 100
27.9, 61
35.1, 53
31.4, 36
40.5, 35
28.7, 29
33.9, 26
37.7, 25
39.5, 22
57.4, 21
55.1, 17
51.8, 16

Structure:
a b c (Å): 7.7967 7.7967 7.7967
angles (deg): 99.14 99.14 133.03
Element x y z (fractional)
Dy 0.0471 0.6540 0.7012
Dy 0.3460 0.0471 0.3931
Dy 0.6540 0.9529 0.6069
Dy 0.9529 0.3460 0.2988
Ho 0.2308 0.2308 0.0000
Er 0.2694 0.3545 0.6229
Er 0.3545 0.7316 0.0851
Er 0.6465 0.2694 0.9149
Er 0.7316 0.6465 0.3771
Er 0.7693 0.7693 0.0000

=====

What did the second record say?
Starting from a crystal structure in Alexandria, relaxed with GGA-PBE, the XRD peak list of Dy4HoEr5 was simulated for copper Kα.
Kinematic intensities with the Lorentz-polarization factor, no thermal factor.

Main lines, by intensity (10 to 90 degrees two-theta):
2θ (°), Rel. int.
30.2, 100
27.9, 61
35.1, 53
31.4, 36
40.5, 35
28.7, 29
33.9, 26
37.7, 25
39.5, 22
57.4, 21
55.1, 17
51.8, 16

Structure:
a b c (Å): 7.7967 7.7967 7.7967
angles (deg): 99.14 99.14 133.03
Element x y z (fractional)
Dy 0.0471 0.6540 0.7012
Dy 0.3460 0.0471 0.3931
Dy 0.6540 0.9529 0.6069
Dy 0.9529 0.3460 0.2988
Ho 0.2308 0.2308 0.0000
Er 0.2694 0.3545 0.6229
Er 0.3545 0.7316 0.0851
Er 0.6465 0.2694 0.9149
Er 0.7316 0.6465 0.3771
Er 0.7693 0.7693 0.0000